K2TeO4: theoretical powder XRD pattern (Cu Kα (weighted mean of Kα1 and Kα2)), based on a structure optimized by DFT (GGA-PBE).
Lines closer than 0.1° are merged.

Structure:
```
data_K2TeO4
_space_group_name_H-M_alt 'P 1'
_space_group_IT_number 1
_space_group_name_Hall 'P 1'
_cell_length_a 6.3885
_cell_length_b 8.3223
_cell_length_c 12.1322
_cell_angle_alpha 90.00
_cell_angle_beta 116.05
_cell_angle_gamma 90.00
loop_
_atom_site_label
_atom_site_fract_x
_atom_site_fract_y
_atom_site_fract_z
_atom_site_occupancy
K1 0.0189 0.0037 0.2743 1
K2 0.0189 0.4963 0.7743 1
K3 0.2807 0.7469 0.0911 1
K4 0.2807 0.7531 0.5911 1
K5 0.7193 0.2469 0.4089 1
K6 0.7193 0.2531 0.9089 1
K7 0.9811 0.5037 0.2257 1
K8 0.9811 0.9963 0.7257 1
Te1 0.3652 0.2286 0.0696 1
Te2 0.3652 0.2714 0.5696 1
Te3 0.6348 0.7286 0.4304 1
Te4 0.6348 0.7714 0.9304 1
O1 0.2290 0.0815 0.5823 1
O2 0.2290 0.4185 0.0823 1
O3 0.2598 0.0657 0.1349 1
O4 0.2598 0.4343 0.6349 1
O5 0.2790 0.2006 0.9038 1
O6 0.2790 0.2994 0.4038 1
O7 0.3115 0.7414 0.3515 1
O8 0.3115 0.7586 0.8515 1
O9 0.6885 0.2414 0.1485 1
O10 0.6885 0.2586 0.6485 1
O11 0.7210 0.7006 0.5962 1
O12 0.7210 0.7994 0.0962 1
O13 0.7402 0.5657 0.3651 1
O14 0.7402 0.9343 0.8651 1
O15 0.7710 0.5815 0.9177 1
O16 0.7710 0.9185 0.4177 1
```

Main lines, by angle (2θ = 15–90°):
| h k l | 2θ (°) | intensity |
| --- | --- | --- |
| 1 1 0 | 18.78 | 39 |
| 0 1 2 | 19.47 | 41 |
| 1 1 -2 | 19.93 | 100 |
| 0 2 0 | 21.35 | 55 |
| 1 2 0 | 26.46 | 73 |
| 0 2 2 | 26.96 | 62 |
| 1 0 2 | 27.06 | 73 |
| 2 0 -2 | 28.07 | 45 |
| 1 0 -4 | 29.47 | 54 |
| 1 2 -4 | 36.65 | 32 |